# 1
# BaCaLa2Mn
Theoretical powder diffractogram, a wavelength of 1.5418 Å. Input: the GGA-PBE geometry in Alexandria.

The 12 most intense peaks (10° ≤ 2θ ≤ 90°), low angle first:
hkl, 2θ/deg, I (rel.)
0 0 1, 14.44, 17
1 0 1, 21.65, 24
1 1 1, 27.07, 100
0 0 2, 29.12, 35
2 0 0, 32.42, 52
2 0 2, 44.13, 43
2 2 0, 46.50, 19
1 1 3, 50.38, 18
3 1 1, 54.63, 28
2 2 2, 55.81, 21
3 1 3, 70.97, 13
4 2 2, 84.58, 13

Cell and atoms:
```
data_BaCaLa2Mn
_symmetry_space_group_name_H-M 'P 4/m m m'
_symmetry_Int_Tables_number 123
_symmetry_space_group_name_Hall '-P 4 2'
_cell_length_a 5.523
_cell_length_b 5.523
_cell_length_c 6.134
_cell_angle_alpha 90.00
_cell_angle_beta 90.00
_cell_angle_gamma 90.00
loop_
_atom_site_label
_atom_site_fract_x
_atom_site_fract_y
_atom_site_fract_z
_atom_site_occupancy
Ba1 0.000 0.000 0.000 1
Ca1 0.500 0.500 0.000 1
La1 0.000 0.500 0.500 1
Mn1 0.500 0.500 0.500 1
```

# 2
# BaCa2LaRh
Theoretical powder diffractogram, a wavelength of 1.5418 Å. Input: the GGA-PBE geometry in Alexandria.

The 12 most intense peaks (10° ≤ 2θ ≤ 90°), low angle first:
hkl, 2θ/deg, I (rel.)
1 0 0, 15.08, 32
1 1 0, 21.39, 94
1 1 1, 26.91, 80
2 0 0, 30.43, 100
0 0 2, 32.61, 41
1 1 2, 39.33, 40
2 2 0, 43.57, 36
2 0 2, 45.20, 65
3 1 1, 51.96, 25
2 2 2, 55.47, 35
3 1 2, 60.13, 23
4 2 2, 81.16, 23

Cell and atoms:
```
data_BaCa2LaRh
_symmetry_space_group_name_H-M 'P 4/m m m'
_symmetry_Int_Tables_number 123
_symmetry_space_group_name_Hall '-P 4 2'
_cell_length_a 5.875
_cell_length_b 5.875
_cell_length_c 5.492
_cell_angle_alpha 90.00
_cell_angle_beta 90.00
_cell_angle_gamma 90.00
loop_
_atom_site_label
_atom_site_fract_x
_atom_site_fract_y
_atom_site_fract_z
_atom_site_occupancy
Ba1 0.000 0.000 0.000 1
Ca1 0.000 0.500 0.500 1
La1 0.500 0.500 0.000 1
Rh1 0.500 0.500 0.500 1
```

# 3
# Ba2CaLaSe4
Theoretical powder diffractogram, a wavelength of 1.5418 Å. Input: the GGA-PBE geometry in Alexandria.

The 12 most intense peaks (10° ≤ 2θ ≤ 90°), low angle first:
hkl, 2θ/deg, I (rel.)
1 1 1, 28.15, 100
2 0 2, 39.96, 36
0 2 0, 40.50, 38
0 0 4, 49.13, 6
2 2 -2, 50.01, 13
4 0 0, 50.12, 7
2 2 2, 58.20, 12
3 1 3, 65.50, 15
4 2 0, 66.27, 17
1 1 5, 72.20, 5
1 3 -3, 73.25, 8
3 3 -1, 73.63, 4

Cell and atoms:
```
data_Ba2CaLaSe4
_symmetry_space_group_name_H-M 'P 1 2/m 1'
_symmetry_Int_Tables_number 10
_cell_length_a 7.708
_cell_length_b 4.459
_cell_length_c 7.854
_cell_angle_alpha 90.00
_cell_angle_beta 109.18
_cell_angle_gamma 90.00
loop_
_symmetry_equiv_pos_as_xyz
'x,y,z'
'-x,-y,-z'
'-x,y,-z'
'x,-y,z'
loop_
_atom_site_label
_atom_site_fract_x
_atom_site_fract_y
_atom_site_fract_z
_atom_site_occupancy
Ba1 0.000 0.000 0.000 1
Ba2 0.500 0.500 0.000 1
Ca1 0.000 0.500 0.500 1
La1 0.500 0.000 0.500 1
Se1 0.239 0.000 0.722 1
Se2 0.257 0.500 0.276 1
```

# 4
# Ba2CaLaZn
Theoretical powder diffractogram, a wavelength of 1.5418 Å. Input: the GGA-PBE geometry in Alexandria.

The 12 most intense peaks (10° ≤ 2θ ≤ 90°), low angle first:
hkl, 2θ/deg, I (rel.)
1 0 0, 13.80, 24
0 0 1, 14.34, 72
1 0 1, 19.95, 46
1 1 1, 24.34, 62
2 0 0, 27.80, 100
0 0 2, 28.90, 45
2 0 1, 31.42, 45
2 1 1, 34.46, 24
2 2 0, 39.73, 38
2 0 2, 40.54, 72
2 2 2, 49.87, 39
4 2 2, 72.65, 25

Cell and atoms:
```
data_Ba2CaLaZn
_symmetry_space_group_name_H-M 'P 4/m m m'
_symmetry_Int_Tables_number 123
_symmetry_space_group_name_Hall '-P 4 2'
_cell_length_a 6.417
_cell_length_b 6.417
_cell_length_c 6.179
_cell_angle_alpha 90.00
_cell_angle_beta 90.00
_cell_angle_gamma 90.00
loop_
_atom_site_label
_atom_site_fract_x
_atom_site_fract_y
_atom_site_fract_z
_atom_site_occupancy
Ba1 0.000 0.500 0.000 1
Ca1 0.000 0.000 0.500 1
La1 0.000 0.000 0.000 1
Zn1 0.500 0.500 0.500 1
```